Theoretical powder diffraction line list of Bi2O3 for Cu Kα (λ = 1.5418 Å), from a DFT-relaxed cell (GGA-PBE, the Materials Project).
Intensities are scaled so that the largest is 100.

Unit cell a=3.913 b=3.913 c=5.843 alpha=90.00 beta=90.00 gamma=90.00
Space group P-4m2 (No. 115)
Symmetry-distinct sites (fractional):
Bi1 0.000 0.500 0.223 (multiplicity 2)
O1 0.000 0.000 0.000 (multiplicity 1)
O2 0.500 0.500 0.000 (multiplicity 1)
O3 0.500 0.500 0.500 (multiplicity 1)

The 6 most intense peaks (10° ≤ 2θ ≤ 80°), sorted by position:
3.251 Å, 2θ = 27.43°, rel. 100, (1 0 1); 2.767 Å, 2θ = 32.35°, rel. 26, (1 1 0); 2.009 Å, 2θ = 45.13°, rel. 31, (1 1 2); 1.957 Å, 2θ = 46.41°, rel. 16, (2 0 0); 1.744 Å, 2θ = 52.48°, rel. 14, (1 0 3); 1.677 Å, 2θ = 54.75°, rel. 31, (2 1 1)